# Pm4DyCu5
Simulated powder diffractogram, CuKα. Input: a PBE-relaxed structure.
Kinematic intensities with the Lorentz-polarization factor, no thermal factor.

Top 12 peaks for 2θ from 5° to 70°, sorted by position:
hkl  2θ (°)  I_rel
0 0 5  24.87  9
1 0 0  25.23  16
1 0 5  35.72  100
1 1 0  35.99  49
1 1 5  44.24  8
0 0 10  51.02  9
2 0 0  51.81  17
1 0 10  57.75  4
2 0 5  58.29  4
2 1 0  58.47  4
1 1 10  64.01  17
2 1 5  64.52  34

Atomic structure:
Unit cell a=3.5293 b=3.5293 c=17.9014 alpha=90.00 beta=90.00 gamma=90.00
Space group P4/mmm (No. 123)
Inequivalent atoms, fractional coordinates:
Pm1 0.0000 0.0000 0.1009 [2 per cell]
Pm2 0.0000 0.0000 0.3032 [2 per cell]
Dy1 0.0000 0.0000 0.5000 [1 per cell]
Cu1 0.5000 0.5000 0.0000 [1 per cell]
Cu2 0.5000 0.5000 0.2016 [2 per cell]
Cu3 0.5000 0.5000 0.4072 [2 per cell]